For Pu3Bi2H2, a structure optimized by DFT (PBE) gives the theoretical X-ray powder pattern in this record (Cu Kα, 1.54184 Å).
No peak broadening, texture or thermal motion is included.

Most intense lines, 2θ = 10–80°, sorted by position:
2theta	I/Imax	h k l
27.07	29.4	1 1 -2
31.23	75.8	1 0 2
31.40	100.0	2 1 -1
31.78	59.0	0 2 1
34.07	23.2	2 1 -2
36.02	73.1	1 1 -3
36.77	36.0	1 2 1
52.50	36.1	3 1 1

Unit cell a=6.472 b=6.042 c=8.248 alpha=90.00 beta=109.75 gamma=90.00
Fractional positions:
1 Pu 0.000 0.000 0.000
2 Pu 0.000 0.500 0.500
3 Pu 0.372 0.119 0.787
4 Pu 0.372 0.381 0.287
5 Pu 0.628 0.619 0.713
6 Pu 0.628 0.881 0.213
7 Bi 0.222 0.597 0.895
8 Bi 0.222 0.903 0.395
9 Bi 0.778 0.097 0.605
10 Bi 0.778 0.403 0.105
11 H 0.354 0.117 0.067
12 H 0.354 0.383 0.567
13 H 0.646 0.617 0.433
14 H 0.646 0.883 0.933